Entry 1:
Structure and theoretical PXRD pattern of Sm2Al3Ag4 (a GGA-PBE-relaxed structure; CuKα).
Intensities are scaled so that the largest is 100.

Atomic structure:
a b c (Å): 8.4888 8.4888 8.0324
angles (deg): 90.00 90.00 140.14
Atoms (fractional coordinates):
Sm 0.1044 0.8956 0.9005
Sm 0.3956 0.6044 0.4005
Sm 0.6044 0.3956 0.5995
Sm 0.8956 0.1044 0.0995
Al 0.0000 0.0000 0.5000
Al 0.0153 0.4847 0.7500
Al 0.4847 0.0153 0.2500
Al 0.5000 0.5000 0.0000
Al 0.5153 0.9847 0.7500
Al 0.9847 0.5153 0.2500
Ag 0.1807 0.8193 0.5143
Ag 0.1844 0.3156 0.7500
Ag 0.3156 0.1844 0.2500
Ag 0.3193 0.6807 0.0143
Ag 0.6807 0.3193 0.9857
Ag 0.6844 0.8156 0.7500
Ag 0.8156 0.6844 0.2500
Ag 0.8193 0.1807 0.4857

Largest 8 diffraction maxima, in order of rising 2θ, 10° ≤ 2θ ≤ 90°:
2theta  intensity
24.85  30.5
31.92  42.8
33.96  100.0
34.82  59.5
35.36  54.3
38.36  83.8
56.96  29.7
66.72  23.4

Entry 2:
Structure and theoretical PXRD pattern of Li3NdHg3 (a GGA-PBE-relaxed structure; CuKα).
Intensities are scaled so that the largest is 100.

Atomic structure:
a b c (Å): 7.0009 7.0009 7.0009
angles (deg): 90.00 90.00 90.00
Atoms (fractional coordinates):
Li 0.0000 0.2500 0.5000
Li 0.0000 0.7500 0.5000
Li 0.2500 0.5000 0.0000
Li 0.5000 0.0000 0.2500
Li 0.5000 0.0000 0.7500
Li 0.7500 0.5000 0.0000
Nd 0.0000 0.0000 0.0000
Nd 0.5000 0.5000 0.5000
Hg 0.0000 0.5000 0.2500
Hg 0.0000 0.5000 0.7500
Hg 0.2500 0.0000 0.5000
Hg 0.5000 0.2500 0.0000
Hg 0.5000 0.7500 0.0000
Hg 0.7500 0.0000 0.5000

Largest 8 diffraction maxima, in order of rising 2θ, 10° ≤ 2θ ≤ 90°:
2theta  intensity
25.45  26.8
28.51  100.0
31.30  63.7
46.79  26.6
48.66  37.8
52.27  18.2
60.61  24.8
72.74  22.1

Entry 3:
Structure and theoretical PXRD pattern of CaY3Ir (a GGA-PBE-relaxed structure; CuKα).
Intensities are scaled so that the largest is 100.

Atomic structure:
a b c (Å): 8.7606 3.8452 9.0960
angles (deg): 90.00 103.75 90.00
Atoms (fractional coordinates):
Ca 0.0000 0.0000 0.0000
Ca 0.4045 0.0000 0.5017
Y 0.0182 0.5000 0.3549
Y 0.2069 0.5000 0.7553
Y 0.3557 0.5000 0.1512
Y 0.6175 0.5000 0.8405
Y 0.6866 0.0000 0.1935
Y 0.8280 0.0000 0.5857
Ir 0.4164 0.0000 0.9322
Ir 0.6333 0.5000 0.4050

Largest 8 diffraction maxima, in order of rising 2θ, 10° ≤ 2θ ≤ 90°:
2theta  intensity
10.40  100.0
12.61  92.3
30.98  41.0
31.37  94.8
32.50  36.4
34.18  44.7
34.59  52.6
38.50  53.4

Entry 4:
Structure and theoretical PXRD pattern of Na2B3C (a GGA-PBE-relaxed structure; CuKα).
Intensities are scaled so that the largest is 100.

Atomic structure:
a b c (Å): 4.9035 7.6495 9.1259
angles (deg): 77.21 75.18 75.70
Atoms (fractional coordinates):
Na 0.0000 0.0000 0.0000
Na 0.0004 0.4927 0.5201
Na 0.1965 0.0940 0.5141
Na 0.1985 0.5974 0.0100
Na 0.3966 0.6974 0.5135
Na 0.3986 0.1921 0.0156
Na 0.6009 0.7979 0.0081
Na 0.6058 0.2928 0.5115
Na 0.7850 0.8975 0.5225
Na 0.8021 0.3952 0.0068
B 0.0268 0.8565 0.7617
B 0.1803 0.9469 0.2624
B 0.2050 0.2365 0.7610
B 0.2175 0.4698 0.7630
B 0.2167 0.7127 0.2618
B 0.3611 0.3439 0.2626
B 0.4591 0.0360 0.7615
B 0.5606 0.9526 0.2623
B 0.5675 0.4192 0.7627
B 0.5873 0.6652 0.7636
B 0.7890 0.5307 0.2623
B 0.8489 0.2357 0.7611
B 0.8524 0.7709 0.2617
B 0.9322 0.1570 0.2624
B 0.9422 0.6467 0.7635
C 0.0283 0.3478 0.2625
C 0.3580 0.8476 0.7627
C 0.4555 0.5373 0.2621
C 0.6022 0.1580 0.2629
C 0.7857 0.0385 0.7605

Largest 8 diffraction maxima, in order of rising 2θ, 10° ≤ 2θ ≤ 90°:
2theta  intensity
34.16  26.8
36.76  17.0
40.13  97.9
41.54  77.2
42.29  100.0
42.42  94.2
62.67  17.6
76.37  18.8

Entry 5:
Structure and theoretical PXRD pattern of Hf2Pd2AuN2 (a GGA-PBE-relaxed structure; CuKα).
Intensities are scaled so that the largest is 100.

Atomic structure:
a b c (Å): 4.3481 4.3481 8.3124
angles (deg): 90.00 90.00 120.00
Atoms (fractional coordinates):
Hf 0.3333 0.6667 0.1276
Hf 0.6667 0.3333 0.8724
Pd 0.0000 0.0000 0.1849
Pd 0.0000 0.0000 0.8151
Au 0.0000 0.0000 0.5000
N 0.3333 0.6667 0.8853
N 0.6667 0.3333 0.1147

Largest 8 diffraction maxima, in order of rising 2θ, 10° ≤ 2θ ≤ 90°:
2theta  intensity
10.64  34.2
23.63  32.2
25.98  100.0
32.07  47.5
32.31  44.1
40.42  32.9
41.54  91.0
53.58  63.0

Entry 6:
Structure and theoretical PXRD pattern of AcMg2Rh2 (a GGA-PBE-relaxed structure; CuKα).
Intensities are scaled so that the largest is 100.

Atomic structure:
a b c (Å): 6.7005 6.7005 6.7005
angles (deg): 143.07 143.07 53.22
Atoms (fractional coordinates):
Ac 0.0000 0.0000 0.0000
Mg 0.2500 0.7500 0.5000
Mg 0.7500 0.2500 0.5000
Rh 0.3911 0.3911 0.0000
Rh 0.6089 0.6089 0.0000

Largest 8 diffraction maxima, in order of rising 2θ, 10° ≤ 2θ ≤ 90°:
2theta  intensity
14.79  59.8
29.77  79.1
30.74  100.0
33.39  78.5
42.60  47.6
43.36  69.4
53.45  43.0
62.42  47.3

Entry 7:
Structure and theoretical PXRD pattern of NaCuAs2 (a GGA-PBE-relaxed structure; CuKα).
Intensities are scaled so that the largest is 100.

Atomic structure:
a b c (Å): 5.8903 5.8903 5.9096
angles (deg): 104.59 104.59 117.36
Atoms (fractional coordinates):
Na 0.1006 0.8994 0.7500
Na 0.8994 0.1006 0.2500
Cu 0.2263 0.7737 0.2500
Cu 0.7737 0.2263 0.7500
As 0.2924 0.5248 0.8989
As 0.4752 0.7076 0.6011
As 0.5248 0.2924 0.3989
As 0.7076 0.4752 0.1011

Largest 8 diffraction maxima, in order of rising 2θ, 10° ≤ 2θ ≤ 90°:
2theta  intensity
18.77  73.7
19.27  34.8
24.69  66.0
31.55  70.0
31.78  38.9
33.46  47.8
39.92  100.0
50.59  48.9

Entry 8:
Structure and theoretical PXRD pattern of Cs3NaSn (a GGA-PBE-relaxed structure; CuKα).
Intensities are scaled so that the largest is 100.

Atomic structure:
a b c (Å): 9.9379 8.1443 15.9077
angles (deg): 90.00 92.44 90.00
Atoms (fractional coordinates):
Cs 0.0027 0.2423 0.1193
Cs 0.0027 0.7577 0.6193
Cs 0.2512 0.3104 0.8179
Cs 0.2512 0.6896 0.3179
Cs 0.3381 0.1080 0.5618
Cs 0.3381 0.8920 0.0618
Cs 0.6619 0.1080 0.9382
Cs 0.6619 0.8920 0.4382
Cs 0.7488 0.3104 0.6821
Cs 0.7488 0.6896 0.1821
Cs 0.9973 0.2423 0.3807
Cs 0.9973 0.7577 0.8807
Na 0.4308 0.3799 0.1058
Na 0.4308 0.6201 0.6058
Na 0.5692 0.3799 0.3942
Na 0.5692 0.6201 0.8942
Sn 0.3612 0.1663 0.2793
Sn 0.3612 0.8337 0.7793
Sn 0.6388 0.1663 0.2207
Sn 0.6388 0.8337 0.7207

Largest 8 diffraction maxima, in order of rising 2θ, 10° ≤ 2θ ≤ 90°:
2theta  intensity
21.63  77.5
21.88  100.0
24.49  88.2
26.92  42.4
27.63  30.2
28.16  29.1
28.77  26.5
29.31  25.6

Entry 9:
Structure and theoretical PXRD pattern of Rb2TiFe2 (a GGA-PBE-relaxed structure; CuKα).
Intensities are scaled so that the largest is 100.

Atomic structure:
a b c (Å): 6.1335 6.1335 6.2678
angles (deg): 90.00 90.00 90.00
Atoms (fractional coordinates):
Rb 0.1807 0.3193 0.0000
Rb 0.3193 0.8193 0.0000
Rb 0.6807 0.1807 0.0000
Rb 0.8193 0.6807 0.0000
Ti 0.0000 0.0000 0.5000
Ti 0.5000 0.5000 0.5000
Fe 0.1287 0.6287 0.5000
Fe 0.3713 0.1287 0.5000
Fe 0.6287 0.8713 0.5000
Fe 0.8713 0.3713 0.5000

Largest 8 diffraction maxima, in order of rising 2θ, 10° ≤ 2θ ≤ 90°:
2theta  intensity
28.48  63.2
32.50  36.2
35.73  100.0
46.84  17.0
53.04  8.5
55.27  26.9
55.74  19.6
64.39  14.2

Entry 10:
Structure and theoretical PXRD pattern of MnAlTc2 (a GGA-PBE-relaxed structure; CuKα).
Intensities are scaled so that the largest is 100.

Atomic structure:
a b c (Å): 3.2084 4.1714 4.1992
angles (deg): 90.00 90.00 90.00
Atoms (fractional coordinates):
Mn 0.0000 0.0000 0.0000
Al 0.5000 0.0000 0.5000
Tc 0.0000 0.5000 0.5000
Tc 0.5000 0.5000 0.0000

Largest 8 diffraction maxima, in order of rising 2θ, 10° ≤ 2θ ≤ 90°:
2theta  intensity
21.30  24.8
35.21  14.6
41.51  100.0
43.08  22.4
43.38  22.0
62.80  14.0
77.90  14.7
78.33  14.4

Entry 11:
Structure and theoretical PXRD pattern of CuSiPt2 (a GGA-PBE-relaxed structure; CuKα).
Intensities are scaled so that the largest is 100.

Atomic structure:
a b c (Å): 8.4495 8.4495 8.4495
angles (deg): 19.24 19.24 19.24
Atoms (fractional coordinates):
Cu 0.0000 0.0000 0.0000
Si 0.7403 0.7403 0.7403
Pt 0.2477 0.2477 0.2477
Pt 0.4830 0.4830 0.4830

Largest 8 diffraction maxima, in order of rising 2θ, 10° ≤ 2θ ≤ 90°:
2theta  intensity
10.67  75.2
32.40  26.9
36.94  26.1
39.60  100.0
41.13  31.0
43.67  18.9
47.29  54.2
66.20  22.8

Entry 12:
Structure and theoretical PXRD pattern of PaGaGe (a GGA-PBE-relaxed structure; CuKα).
Intensities are scaled so that the largest is 100.

Atomic structure:
a b c (Å): 5.8713 5.8713 5.8713
angles (deg): 138.91 98.36 95.80
Atoms (fractional coordinates):
Pa 0.2423 0.2423 0.0000
Pa 0.7577 0.7577 0.0000
Ga 0.3414 0.0000 0.3414
Ga 0.6586 0.0000 0.6586
Ge 0.1699 0.5000 0.6699
Ge 0.8301 0.5000 0.3301

Largest 8 diffraction maxima, in order of rising 2θ, 10° ≤ 2θ ≤ 90°:
2theta  intensity
23.17  16.5
24.52  26.6
32.58  52.0
33.58  100.0
41.54  43.2
43.94  18.5
55.76  23.1
63.79  23.9